No. 1
Starting from a structure optimized by DFT (GGA-PBE), the PXRD pattern of Tb2PrY2Tm was simulated for CuKα.
Peak positions follow from Bragg's law for the DFT cell and can differ from measured ones.

Largest 6 diffraction maxima, by angle, 15° ≤ 2θ ≤ 90°:
29.2 deg, I = 60, (2 2 0)
30.0 deg, I = 100, (0 6 0)
31.1 deg, I = 36, (1 2 1)
33.1 deg, I = 31, (1 6 0)
34.0 deg, I = 48, (2 4 0)
35.8 deg, I = 37, (1 4 1)

Crystal structure
Unit cell a=6.5215 b=17.8796 c=3.4264 alpha=90.00 beta=90.00 gamma=90.00
Fractional positions:
1 Tb 0.2152 0.1465 0.0000
2 Tb 0.2848 0.6465 0.5000
3 Tb 0.7152 0.3535 0.5000
4 Tb 0.7848 0.8535 0.0000
5 Pr 0.0000 0.5000 0.5000
6 Pr 0.5000 0.0000 0.0000
7 Y 0.2185 0.3125 0.5000
8 Y 0.2815 0.8125 0.0000
9 Y 0.7185 0.1875 0.0000
10 Y 0.7815 0.6875 0.5000
11 Tm 0.0000 0.0000 0.5000
12 Tm 0.5000 0.5000 0.0000

***

No. 2
Starting from a structure optimized by DFT (GGA-PBE), the PXRD pattern of U3Ge5Rh6 was simulated for CuKα.
Peak positions follow from Bragg's law for the DFT cell and can differ from measured ones.

Largest 6 diffraction maxima, by angle, 15° ≤ 2θ ≤ 90°:
22.8 deg, I = 18, (0 3 1)
35.5 deg, I = 23, (0 3 3)
36.0 deg, I = 100, (1 3 2)
36.3 deg, I = 36, (1 0 3)
42.1 deg, I = 20, (0 6 0)
45.0 deg, I = 27, (2 0 0)

Crystal structure
Unit cell a=4.0314 b=12.8874 c=9.3884 alpha=90.00 beta=90.00 gamma=90.00
Fractional positions:
1 U 0.2500 0.0739 0.2448
2 U 0.2500 0.4261 0.2448
3 U 0.2500 0.7500 0.2575
4 U 0.7500 0.2500 0.7425
5 U 0.7500 0.5739 0.7552
6 U 0.7500 0.9261 0.7552
7 Ge 0.2500 0.0907 0.8537
8 Ge 0.2500 0.4093 0.8537
9 Ge 0.2500 0.6351 0.5370
10 Ge 0.2500 0.7500 0.8165
11 Ge 0.2500 0.8649 0.5370
12 Ge 0.7500 0.1351 0.4630
13 Ge 0.7500 0.2500 0.1835
14 Ge 0.7500 0.3649 0.4630
15 Ge 0.7500 0.5907 0.1463
16 Ge 0.7500 0.9093 0.1463
17 Rh 0.2500 0.0517 0.5984
18 Rh 0.2500 0.2500 0.0133
19 Rh 0.2500 0.2500 0.5031
20 Rh 0.2500 0.4483 0.5984
21 Rh 0.2500 0.5837 0.9909
22 Rh 0.2500 0.9163 0.9909
23 Rh 0.7500 0.0837 0.0091
24 Rh 0.7500 0.4163 0.0091
25 Rh 0.7500 0.5517 0.4016
26 Rh 0.7500 0.7500 0.4969
27 Rh 0.7500 0.7500 0.9867
28 Rh 0.7500 0.9483 0.4016

***

No. 3
Starting from a structure optimized by DFT (GGA-PBE), the PXRD pattern of LaHgRh2Se was simulated for CuKα.
Peak positions follow from Bragg's law for the DFT cell and can differ from measured ones.

Largest 6 diffraction maxima, by angle, 15° ≤ 2θ ≤ 90°:
31.8 deg, I = 100, (1 1 1)
34.1 deg, I = 37, (0 0 2)
38.3 deg, I = 55, (2 0 0)
52.2 deg, I = 45, (2 0 2)
65.2 deg, I = 25, (3 1 1)
66.5 deg, I = 21, (2 2 2)

Crystal structure
Unit cell a=4.7045 b=4.7045 c=5.2589 alpha=90.00 beta=90.00 gamma=90.00
Fractional positions:
1 La 0.0000 0.0000 0.0000
2 Hg 0.5000 0.5000 0.0000
3 Rh 0.0000 0.5000 0.5000
4 Rh 0.5000 0.0000 0.5000
5 Se 0.5000 0.5000 0.5000

***

No. 4
Starting from a structure optimized by DFT (GGA-PBE), the PXRD pattern of NaCa2OsC was simulated for CuKα.
Peak positions follow from Bragg's law for the DFT cell and can differ from measured ones.

Largest 6 diffraction maxima, by angle, 15° ≤ 2θ ≤ 90°:
17.0 deg, I = 95, (1 0 0)
24.1 deg, I = 26, (1 1 0)
28.4 deg, I = 41, (1 0 1)
33.2 deg, I = 100, (1 1 1)
34.3 deg, I = 53, (2 0 0)
60.7 deg, I = 34, (3 1 1)

Crystal structure
Unit cell a=5.2288 b=5.2288 c=3.9426 alpha=90.00 beta=90.00 gamma=90.00
Fractional positions:
1 Na 0.0000 0.0000 0.0000
2 Ca 0.0000 0.5000 0.5000
3 Ca 0.5000 0.0000 0.5000
4 Os 0.5000 0.5000 0.0000
5 C 0.5000 0.5000 0.5000